The following is a simulated powder diffractogram of Tm3Ag5. It was derived from a cell relaxed with GGA-PBE, using Cu Kα.

Atomic structure:
```
Tm3Ag5
1.0
7.448 0.000 0.000
-3.724 6.450 0.000
0.000 0.000 3.740
Tm Ag
3 5
Cartesian
-2.283 3.955 0.000
1.441 2.495 0.000
4.566 0.000 0.000
-0.866 1.501 1.870
1.733 0.000 1.870
0.000 4.300 1.870
3.724 2.150 1.870
2.858 4.949 1.870
```

Largest 10 diffraction maxima, by intensity, 2θ = 10–90°:
2θ/deg	d [Å]	intensity
34.0	2.639	100.0
36.8	2.440	76.1
42.0	2.150	21.7
62.6	1.484	17.8
57.1	1.614	14.5
48.7	1.870	14.2
71.6	1.317	13.1
68.1	1.376	12.7
66.2	1.411	11.0
44.4	2.042	10.9